For PrY5Sn6, a GGA-PBE-relaxed structure gives the simulated powder X-ray diffraction pattern in this record (copper Kα).
No peak broadening, texture or thermal motion is included.

The 12 most intense peaks (2θ = 10–80°), most intense first:
- 2θ 30.3, 2.945 Å, rel. 100, hkl 1 3 -2
- 2θ 35.0, 2.562 Å, rel. 69, hkl 1 3 2
- 2θ 31.6, 2.834 Å, rel. 45, hkl 2 0 0
- 2θ 38.0, 2.368 Å, rel. 27, hkl 0 6 0
- 2θ 50.2, 1.817 Å, rel. 24, hkl 2 6 0
- 2θ 52.3, 1.748 Å, rel. 21, hkl 3 3 -2
- 2θ 43.6, 2.074 Å, rel. 19, hkl 0 0 4
- 2θ 59.2, 1.560 Å, rel. 15, hkl 0 6 4
- 2θ 61.4, 1.510 Å, rel. 13, hkl 3 3 2
- 2θ 48.4, 1.881 Å, rel. 13, hkl 2 0 -4
- 2θ 63.1, 1.473 Å, rel. 12, hkl 2 6 -4
- 2θ 64.0, 1.456 Å, rel. 12, hkl 1 9 -2

Atomic structure:
```
data_PrY5Sn6
_chemical_formula_sum 'Pr2 Y10 Sn12'
_cell_length_a 5.809
_cell_length_b 14.209
_cell_length_c 8.500
_cell_angle_alpha 90.00
_cell_angle_beta 102.61
_cell_angle_gamma 90.00
_space_group_name_H-M_alt 'C 1 2/m 1'
_space_group_IT_number 12
loop_
_space_group_symop_operation_xyz
'x,y,z'
'-x,-y,-z'
'-x,y,-z'
'x,-y,z'
'x+1/2,y+1/2,z'
'-x+1/2,-y+1/2,-z'
'-x+1/2,y+1/2,-z'
'x+1/2,-y+1/2,z'
loop_
_atom_site_label
_atom_site_type_symbol
_atom_site_fract_x
_atom_site_fract_y
_atom_site_fract_z
_atom_site_occupancy
Pr1 Pr 0.000 0.000 0.000 1
Y1 Y 0.000 0.000 0.500 1
Y2 Y 0.000 0.330 0.000 1
Y3 Y 0.000 0.338 0.500 1
Sn1 Sn 0.006 0.169 0.744 1
Sn2 Sn 0.021 0.500 0.246 1
```